# 1
Simulated powder diffraction line list
Compound: Ho2WO6
Radiation: Cu Ka
Structure: a structure optimized by DFT (PBE+U)
Intensities are scaled so that the largest is 1000.

Lattice parameters (Å, degrees): 7.682 5.381 11.458 90.00 104.64 90.00
Space group P2/c (No. 13)
Unique sites:
1 Ho 0.000 0.183 0.250
2 Ho 0.298 0.311 0.922
3 Ho 0.500 0.237 0.250
4 W 0.221 0.247 0.613
5 O 0.013 0.137 0.889
6 O 0.133 0.353 0.451
7 O 0.209 0.485 0.229
8 O 0.286 0.036 0.771
9 O 0.353 0.025 0.069
10 O 0.438 0.464 0.604

Largest 10 diffraction maxima, by angle, 10° ≤ 2θ ≤ 90°:
- (2 1 -1), 28.62 deg, I 1000
- (0 1 3), 29.32 deg, I 964
- (2 1 1), 31.94 deg, I 118
- (2 0 2), 32.21 deg, I 217
- (0 2 0), 33.30 deg, I 233
- (2 0 -4), 35.16 deg, I 209
- (2 2 2), 47.01 deg, I 174
- (2 2 -4), 49.21 deg, I 236
- (4 1 -5), 58.74 deg, I 120
- (2 1 -7), 59.94 deg, I 126

=====

# 2
Simulated powder diffraction line list
Compound: Li6Ni2PC4O16
Radiation: Cu Ka
Structure: a structure optimized by DFT (PBE+U)
Intensities are scaled so that the largest is 1000.

Lattice parameters (Å, degrees): 13.189 13.189 13.189 90.00 90.00 90.00
Space group Fd-3 (No. 203, origin choice 2)
Unique sites:
1 Li 0.093 0.375 0.375
2 Ni 0.000 0.000 0.500
3 P 0.125 0.125 0.125
4 C 0.027 0.027 0.723
5 O 0.021 0.099 0.790
6 O 0.057 0.057 0.057

Largest 10 diffraction maxima, by angle, 10° ≤ 2θ ≤ 90°:
- (1 1 1), 11.62 deg, I 471
- (3 1 1), 22.36 deg, I 1000
- (4 0 0), 27.04 deg, I 411
- (5 1 1), 35.36 deg, I 392
- (4 4 0), 38.62 deg, I 348
- (5 1 3), 40.46 deg, I 399
- (6 2 2), 45.63 deg, I 226
- (5 5 3), 53.36 deg, I 168
- (5 5 5), 60.82 deg, I 258
- (6 6 2), 61.27 deg, I 156

=====

# 3
Simulated powder diffraction line list
Compound: Na3NiO2
Radiation: Cu Ka
Structure: a structure optimized by DFT (PBE+U)
Intensities are scaled so that the largest is 1000.

Lattice parameters (Å, degrees): 5.919 8.542 7.990 90.00 112.83 90.00
Space group P2_1/c (No. 14)
Unique sites:
1 Na 0.236 0.214 0.311
2 Na 0.248 0.535 0.500
3 Na 0.260 0.532 0.125
4 Ni 0.295 0.673 0.828
5 O 0.044 0.540 0.778
6 O 0.463 0.187 0.118

Largest 10 diffraction maxima, by angle, 10° ≤ 2θ ≤ 90°:
- (1 1 0), 19.31 deg, I 1000
- (1 0 -2), 23.32 deg, I 538
- (0 0 2), 24.13 deg, I 734
- (0 1 2), 26.36 deg, I 730
- (2 0 0), 32.84 deg, I 827
- (1 3 -1), 35.46 deg, I 955
- (0 1 3), 38.15 deg, I 721
- (2 2 -2), 38.81 deg, I 700
- (1 3 1), 39.78 deg, I 703
- (1 2 2), 40.42 deg, I 586